Theoretical powder diffractogram
Compound: Ho2Co15Ni2
Radiation: Cu Kα (λ = 1.5418 Å)
Structure: a crystal structure in Alexandria, relaxed with PBE

Structure:
```
Ho2Co15Ni2
1.0
4.1538 2.3982 4.0124
-4.1538 2.3982 4.0124
0.0000 -4.7964 4.0124
Ho Co Ni
2 15 2
Direct
0.1585 0.1585 0.1585 Ho
0.8415 0.8415 0.8415 Ho
0.0000 0.5000 0.5000 Co
0.1528 0.1528 0.6525 Co
0.1528 0.6525 0.1528 Co
0.2128 0.5000 0.7872 Co
0.2128 0.7872 0.5000 Co
0.3475 0.8472 0.8472 Co
0.5000 0.0000 0.5000 Co
0.5000 0.2128 0.7872 Co
0.5000 0.5000 0.0000 Co
0.5000 0.7872 0.2128 Co
0.6525 0.1528 0.1528 Co
0.7872 0.2128 0.5000 Co
0.7872 0.5000 0.2128 Co
0.8472 0.3475 0.8472 Co
0.8472 0.8472 0.3475 Co
0.3983 0.3983 0.3983 Ni
0.6017 0.6017 0.6017 Ni
```

Top 10 peaks for 15° ≤ 2θ ≤ 90°, in order of falling intensity:
2θ 43.99, rel. 100
2θ 43.58, rel. 70
2θ 37.50, rel. 44
2θ 30.99, rel. 40
2θ 39.02, rel. 35
2θ 45.20, rel. 33
2θ 44.93, rel. 21
2θ 49.41, rel. 21
2θ 82.60, rel. 18
2θ 63.64, rel. 18